# Er4SnTe
Computed PXRD pattern, Cu Kα. Input: a DFT-relaxed cell (GGA-PBE, Alexandria).
Lines closer than 0.1° are merged.

The 10 most intense peaks (5 to 70 degrees two-theta), by angle:
11.01°, I = 22, (0 0 1)
21.75°, I = 22, (1 0 2)
22.91°, I = 24, (-1 1 1)
30.42°, I = 75, (1 -2 1)
31.84°, I = 100, (2 1 2)
36.28°, I = 52, (1 1 -2)
36.42°, I = 62, (2 1 3)
36.53°, I = 54, (0 2 3)
39.47°, I = 47, (1 3 1)
41.86°, I = 37, (1 0 4)

Structural model:
Cell: 6.316 7.387 8.881 Å, 76.44 69.20 89.91°
Fractional positions:
Er1 0.027 0.053 0.152
Er2 0.180 0.447 0.848
Er3 0.262 0.373 0.277
Er4 0.462 0.873 0.277
Er5 0.538 0.127 0.723
Er6 0.738 0.627 0.723
Er7 0.820 0.553 0.152
Er8 0.973 0.947 0.848
Sn1 0.348 0.750 0.001
Sn2 0.652 0.250 0.999
Te1 0.000 0.000 0.500
Te2 0.500 0.500 0.500